HfAu4: computed powder diffraction line list (Cu Kα), based on the PBE geometry in OQMD.

Largest 6 diffraction maxima, most intense first, 5 to 70 degrees two-theta:
two_theta	intensity	hkl
40.45	100	1 1 5
40.17	55	2 1 0
36.80	45	0 2 0
35.83	26	1 0 5
68.76	21	1 3 5
63.99	18	3 0 5

Atomic structure:
```
data_HfAu4
_space_group_name_H-M_alt 'P n m a'
_space_group_IT_number 62
_space_group_name_Hall '-P 2ac 2n'
_cell_length_a 5.0546
_cell_length_b 4.8843
_cell_length_c 14.4301
_cell_angle_alpha 90.00
_cell_angle_beta 90.00
_cell_angle_gamma 90.00
loop_
_atom_site_label
_atom_site_type_symbol
_atom_site_fract_x
_atom_site_fract_y
_atom_site_fract_z
Hf1 Hf 0.1598 0.2500 0.0987
Au1 Au 0.1573 0.2500 0.9002
Au2 Au 0.1627 0.2500 0.2986
Au3 Au 0.1625 0.2500 0.4989
Au4 Au 0.1732 0.2500 0.6958
```